No. 1
FeSbP2O8: calculated powder diffractogram (Cu Ka), based on a cell relaxed with PBE+U.
No peak broadening, texture or thermal motion is included.

Principal peaks in the range 10° ≤ 2θ ≤ 90°, in order of rising 2θ:
2θ = 17.50°, rel. 100.0; 2θ = 21.34°, rel. 41.7; 2θ = 23.71°, rel. 98.8; 2θ = 25.47°, rel. 49.6; 2θ = 27.66°, rel. 96.1; 2θ = 30.48°, rel. 47.0; 2θ = 33.32°, rel. 52.4; 2θ = 37.06°, rel. 29.4

Structural model:
```
data_FeSbP2O8
_chemical_formula_sum 'Fe2 Sb2 P4 O16'
_space_group_name_H-M_alt 'P 1'
_space_group_IT_number 1
_cell_length_a 4.8833
_cell_length_b 6.4495
_cell_length_c 10.2256
_cell_angle_alpha 89.84
_cell_angle_beta 82.50
_cell_angle_gamma 89.83
loop_
_space_group_symop_operation_xyz
'x,y,z'
loop_
_atom_site_label
_atom_site_type_symbol
_atom_site_fract_x
_atom_site_fract_y
_atom_site_fract_z
Fe1 Fe 0.0884 0.2477 0.2801
Fe2 Fe 0.9116 0.7523 0.7199
Sb1 Sb 0.4001 0.2519 0.7987
Sb2 Sb 0.5999 0.7481 0.2013
P1 P 0.0937 0.7501 0.3962
P2 P 0.3004 0.7495 0.8951
P3 P 0.6996 0.2505 0.1049
P4 P 0.9063 0.2499 0.6038
O1 O 0.1058 0.7484 0.5446
O2 O 0.1746 0.9323 0.8173
O3 O 0.1776 0.5666 0.8167
O4 O 0.2123 0.2505 0.6279
O5 O 0.2136 0.7479 0.0416
O6 O 0.2570 0.9402 0.3273
O7 O 0.2600 0.5618 0.3261
O8 O 0.3814 0.2501 0.1367
O9 O 0.6186 0.7499 0.8633
O10 O 0.7400 0.4382 0.6739
O11 O 0.7430 0.0598 0.6727
O12 O 0.7864 0.2521 0.9584
O13 O 0.7877 0.7495 0.3721
O14 O 0.8224 0.4334 0.1833
O15 O 0.8254 0.0677 0.1827
O16 O 0.8942 0.2516 0.4554
```

=====

No. 2
Fe3SbP4O16: calculated powder diffractogram (Cu Ka), based on a cell relaxed with PBE+U.
No peak broadening, texture or thermal motion is included.

Principal peaks in the range 10° ≤ 2θ ≤ 90°, in order of rising 2θ:
2θ = 17.50°, rel. 100.0; 2θ = 19.75°, rel. 44.9; 2θ = 20.13°, rel. 52.5; 2θ = 24.61°, rel. 68.1; 2θ = 24.90°, rel. 81.5; 2θ = 29.31°, rel. 89.2; 2θ = 35.03°, rel. 63.4; 2θ = 35.70°, rel. 55.1

Structural model:
```
data_Fe3SbP4O16
_chemical_formula_sum 'Fe3 Sb1 P4 O16'
_space_group_name_H-M_alt 'P 1'
_space_group_IT_number 1
_cell_length_a 4.9586
_cell_length_b 6.0952
_cell_length_c 10.1363
_cell_angle_alpha 90.00
_cell_angle_beta 91.35
_cell_angle_gamma 90.00
loop_
_space_group_symop_operation_xyz
'x,y,z'
loop_
_atom_site_label
_atom_site_type_symbol
_atom_site_fract_x
_atom_site_fract_y
_atom_site_fract_z
Fe1 Fe 0.0000 0.0000 0.0000
Fe2 Fe 0.0679 0.5000 0.4510
Fe3 Fe 0.5051 0.5000 0.9551
Sb1 Sb 0.5745 0.0000 0.5082
P1 P 0.1323 0.0000 0.3199
P2 P 0.4427 0.0000 0.8328
P3 P 0.6153 0.5000 0.6385
P4 P 0.9595 0.5000 0.1250
O1 O 0.1825 0.0000 0.1721
O2 O 0.2633 0.5000 0.1009
O3 O 0.2808 0.1961 0.3939
O4 O 0.2808 0.8039 0.3939
O5 O 0.3078 0.1979 0.9058
O6 O 0.3078 0.8021 0.9058
O7 O 0.3145 0.5000 0.6115
O8 O 0.3524 0.0000 0.6855
O9 O 0.6835 0.5000 0.7862
O10 O 0.7507 0.0000 0.8482
O11 O 0.7653 0.3039 0.5658
O12 O 0.7653 0.6961 0.5658
O13 O 0.8146 0.3016 0.0497
O14 O 0.8146 0.6984 0.0497
O15 O 0.8258 0.0000 0.3424
O16 O 0.8972 0.5000 0.2703
```

=====

No. 3
FeSb3P6O24: calculated powder diffractogram (Cu Ka), based on a cell relaxed with PBE+U.
No peak broadening, texture or thermal motion is included.

Principal peaks in the range 10° ≤ 2θ ≤ 90°, in order of rising 2θ:
2θ = 14.30°, rel. 43.5; 2θ = 19.97°, rel. 100.0; 2θ = 20.57°, rel. 71.5; 2θ = 23.89°, rel. 59.5; 2θ = 28.83°, rel. 64.3; 2θ = 31.92°, rel. 55.5; 2θ = 35.68°, rel. 27.7; 2θ = 36.04°, rel. 26.7

Structural model:
```
data_FeSb3P6O24
_chemical_formula_sum 'Fe1 Sb3 P6 O24'
_space_group_name_H-M_alt 'P 1'
_space_group_IT_number 1
_cell_length_a 8.9005
_cell_length_b 8.9005
_cell_length_c 8.9005
_cell_angle_alpha 58.03
_cell_angle_beta 58.03
_cell_angle_gamma 58.03
loop_
_space_group_symop_operation_xyz
'x,y,z'
loop_
_atom_site_label
_atom_site_type_symbol
_atom_site_fract_x
_atom_site_fract_y
_atom_site_fract_z
Fe1 Fe 0.0000 0.0000 0.0000
Sb1 Sb 0.2140 0.2140 0.2140
Sb2 Sb 0.5011 0.5011 0.5011
Sb3 Sb 0.7144 0.7144 0.7144
P1 P 0.1067 0.3917 0.8202
P2 P 0.3158 0.8962 0.6110
P3 P 0.3917 0.8202 0.1067
P4 P 0.6110 0.3158 0.8962
P5 P 0.8202 0.1067 0.3917
P6 P 0.8962 0.6110 0.3158
O1 O 0.0753 0.4306 0.3015
O2 O 0.0810 0.2245 0.8469
O3 O 0.1330 0.3738 0.9900
O4 O 0.1414 0.9175 0.7804
O5 O 0.2245 0.8469 0.0810
O6 O 0.2821 0.4187 0.6387
O7 O 0.3015 0.0753 0.4306
O8 O 0.3459 0.7242 0.5800
O9 O 0.3738 0.9900 0.1330
O10 O 0.4187 0.6387 0.2821
O11 O 0.4306 0.3015 0.0753
O12 O 0.4935 0.8712 0.6293
O13 O 0.5780 0.7979 0.9338
O14 O 0.5800 0.3459 0.7242
O15 O 0.6293 0.4935 0.8712
O16 O 0.6387 0.2821 0.4187
O17 O 0.7242 0.5800 0.3459
O18 O 0.7804 0.1414 0.9175
O19 O 0.7979 0.9338 0.5780
O20 O 0.8469 0.0810 0.2245
O21 O 0.8712 0.6293 0.4935
O22 O 0.9175 0.7804 0.1414
O23 O 0.9338 0.5780 0.7979
O24 O 0.9900 0.1330 0.3738
```